No. 1
For Pr2MgSe4, a PBE-relaxed structure gives the theoretical powder XRD pattern in this record (Cu Ka).
No peak broadening, texture or thermal motion is included.

Cell and atoms:
```
Pr2MgSe4
1.0
13.692 0.000 0.000
0.000 8.205 0.000
0.000 0.000 13.691
Pr Mg Se
16 8 32
Direct
0.108 0.114 0.000
0.127 0.616 0.641
0.135 0.369 0.308
0.135 0.869 0.309
0.365 0.369 0.808
0.365 0.869 0.809
0.373 0.616 0.141
0.392 0.114 0.500
0.608 0.886 0.000
0.627 0.384 0.641
0.635 0.131 0.309
0.635 0.631 0.308
0.865 0.131 0.809
0.865 0.631 0.808
0.873 0.384 0.141
0.892 0.886 0.500
0.112 0.615 0.008
0.126 0.120 0.635
0.374 0.120 0.135
0.388 0.615 0.508
0.612 0.385 0.008
0.626 0.880 0.635
0.874 0.880 0.135
0.888 0.385 0.508
0.010 0.117 0.195
0.026 0.627 0.182
0.028 0.616 0.444
0.048 0.126 0.455
0.209 0.118 0.811
0.210 0.618 0.839
0.232 0.865 0.089
0.233 0.362 0.092
0.267 0.362 0.592
0.268 0.865 0.589
0.290 0.618 0.339
0.291 0.118 0.311
0.452 0.126 0.955
0.472 0.616 0.944
0.474 0.627 0.682
0.490 0.117 0.695
0.510 0.883 0.195
0.526 0.373 0.182
0.528 0.384 0.444
0.548 0.874 0.455
0.709 0.882 0.811
0.710 0.382 0.839
0.732 0.135 0.089
0.733 0.638 0.092
0.767 0.638 0.592
0.768 0.135 0.589
0.790 0.382 0.339
0.791 0.882 0.311
0.952 0.874 0.955
0.972 0.384 0.944
0.974 0.373 0.682
0.990 0.883 0.695
```

The 8 most intense peaks (5° ≤ 2θ ≤ 70°), by angle:
| d (Å) | I (rel.) |
| --- | --- |
| 3.797 | 37.2 |
| 3.061 | 46.5 |
| 2.978 | 100.0 |
| 2.787 | 67.1 |
| 2.247 | 42.9 |
| 2.162 | 30.9 |
| 2.051 | 29.3 |
| 2.040 | 58.8 |

No. 2
For Pr2MgSe4, a PBE-relaxed structure gives the theoretical powder XRD pattern in this record (Cu Ka).
No peak broadening, texture or thermal motion is included.

Cell and atoms:
```
Pr2MgSe4
1.0
13.540 0.000 0.000
0.000 4.159 0.000
0.000 0.000 14.774
Pr Mg Se
8 4 16
Direct
0.119 0.250 0.074
0.136 0.250 0.705
0.364 0.750 0.205
0.381 0.750 0.574
0.619 0.250 0.426
0.636 0.250 0.795
0.864 0.750 0.295
0.881 0.750 0.926
0.107 0.750 0.460
0.393 0.250 0.960
0.607 0.750 0.040
0.893 0.250 0.540
0.002 0.750 0.613
0.029 0.250 0.884
0.225 0.250 0.247
0.233 0.250 0.514
0.267 0.750 0.014
0.275 0.750 0.747
0.471 0.750 0.384
0.498 0.250 0.113
0.502 0.750 0.887
0.529 0.250 0.616
0.725 0.250 0.253
0.733 0.250 0.986
0.767 0.750 0.486
0.775 0.750 0.753
0.971 0.750 0.116
0.998 0.250 0.387
```

The 8 most intense peaks (5° ≤ 2θ ≤ 70°), by angle:
| d (Å) | I (rel.) |
| --- | --- |
| 6.485 | 67.4 |
| 3.983 | 48.0 |
| 3.544 | 100.0 |
| 3.242 | 71.3 |
| 2.995 | 52.9 |
| 2.826 | 90.3 |
| 2.317 | 47.2 |
| 2.080 | 42.8 |

No. 3
For Pr2MgSe4, a PBE-relaxed structure gives the theoretical powder XRD pattern in this record (Cu Ka).
No peak broadening, texture or thermal motion is included.

Cell and atoms:
```
Pr2MgSe4
1.0
14.721 0.000 0.000
0.000 8.627 0.000
0.000 0.000 6.978
Pr Mg Se
8 4 16
Direct
0.000 0.000 0.000
0.000 0.500 0.000
0.233 0.250 0.500
0.267 0.750 0.000
0.500 0.000 0.500
0.500 0.500 0.500
0.733 0.250 0.000
0.767 0.750 0.500
0.092 0.750 0.419
0.408 0.250 0.919
0.592 0.750 0.081
0.908 0.250 0.581
0.068 0.250 0.743
0.092 0.750 0.783
0.168 0.515 0.248
0.168 0.985 0.248
0.332 0.015 0.748
0.332 0.485 0.748
0.408 0.250 0.283
0.432 0.750 0.243
0.568 0.250 0.757
0.592 0.750 0.717
0.668 0.515 0.252
0.668 0.985 0.252
0.832 0.015 0.752
0.832 0.485 0.752
0.908 0.250 0.217
0.932 0.750 0.257
```

The 8 most intense peaks (5° ≤ 2θ ≤ 70°), by angle:
| d (Å) | I (rel.) |
| --- | --- |
| 6.305 | 34.1 |
| 5.090 | 58.7 |
| 3.560 | 35.5 |
| 3.284 | 68.0 |
| 3.255 | 36.9 |
| 2.545 | 100.0 |
| 2.532 | 40.5 |
| 2.133 | 51.9 |

No. 4
For PrMgSi2, a PBE-relaxed structure gives the theoretical powder XRD pattern in this record (Cu Ka).
No peak broadening, texture or thermal motion is included.

Cell and atoms:
```
PrMgSi2
1.0
-2.142 2.142 18.430
2.142 -2.142 18.430
2.142 2.142 -18.430
Pr Mg Si
4 4 8
Direct
0.298 0.548 0.750
0.452 0.702 0.750
0.548 0.298 0.250
0.702 0.452 0.250
0.125 0.375 0.750
0.375 0.125 0.250
0.625 0.875 0.750
0.875 0.625 0.250
0.014 0.764 0.250
0.077 0.827 0.250
0.173 0.923 0.250
0.236 0.986 0.250
0.764 0.014 0.750
0.827 0.077 0.750
0.923 0.173 0.750
0.986 0.236 0.750
```

The 8 most intense peaks (5° ≤ 2θ ≤ 70°), by angle:
| d (Å) | I (rel.) |
| --- | --- |
| 9.215 | 23.5 |
| 4.256 | 24.2 |
| 3.705 | 21.8 |
| 3.324 | 39.9 |
| 2.990 | 26.0 |
| 2.717 | 100.0 |
| 2.365 | 35.0 |
| 2.142 | 36.9 |

No. 5
For PrSmMg2, a PBE-relaxed structure gives the theoretical powder XRD pattern in this record (Cu Ka).
No peak broadening, texture or thermal motion is included.

Cell and atoms:
```
PrSmMg2
1.0
7.763 0.000 0.000
0.000 7.763 0.000
0.000 0.000 7.763
Pr Sm Mg
4 4 8
Direct
0.000 0.000 0.000
0.000 0.500 0.500
0.500 0.000 0.500
0.500 0.500 0.000
0.000 0.000 0.500
0.000 0.500 0.000
0.500 0.000 0.000
0.500 0.500 0.500
0.250 0.250 0.250
0.250 0.250 0.750
0.250 0.750 0.250
0.250 0.750 0.750
0.750 0.250 0.250
0.750 0.250 0.750
0.750 0.750 0.250
0.750 0.750 0.750
```

The 7 most intense peaks (5° ≤ 2θ ≤ 70°), by angle:
| d (Å) | I (rel.) |
| --- | --- |
| 3.881 | 59.3 |
| 2.745 | 100.0 |
| 2.241 | 18.4 |
| 1.941 | 18.2 |
| 1.736 | 25.4 |
| 1.585 | 37.8 |
| 1.372 | 11.6 |

No. 6
For PrMgSn, a PBE-relaxed structure gives the theoretical powder XRD pattern in this record (Cu Ka).
No peak broadening, texture or thermal motion is included.

Cell and atoms:
```
PrMgSn
1.0
4.547 0.000 0.000
0.000 4.547 0.000
0.000 0.000 16.296
Pr Mg Sn
4 4 4
Direct
0.000 0.000 0.163
0.000 0.000 0.837
0.500 0.500 0.337
0.500 0.500 0.663
0.000 0.500 0.000
0.000 0.500 0.500
0.500 0.000 0.000
0.500 0.000 0.500
0.000 0.000 0.368
0.000 0.000 0.632
0.500 0.500 0.132
0.500 0.500 0.868
```

The 8 most intense peaks (5° ≤ 2θ ≤ 70°), by angle:
| d (Å) | I (rel.) |
| --- | --- |
| 4.074 | 48.9 |
| 3.215 | 100.0 |
| 2.991 | 31.0 |
| 2.649 | 30.6 |
| 2.524 | 96.1 |
| 2.274 | 57.8 |
| 1.985 | 28.8 |
| 1.356 | 28.0 |

No. 7
For PrMgSn, a PBE-relaxed structure gives the theoretical powder XRD pattern in this record (Cu Ka).
No peak broadening, texture or thermal motion is included.

Cell and atoms:
```
PrMgSn
1.0
7.725 0.000 0.000
0.000 4.674 0.000
0.000 0.000 9.150
Pr Mg Sn
4 4 4
Direct
0.021 0.250 0.182
0.479 0.750 0.682
0.521 0.250 0.318
0.979 0.750 0.818
0.154 0.250 0.567
0.346 0.750 0.067
0.654 0.250 0.933
0.846 0.750 0.433
0.229 0.750 0.387
0.271 0.250 0.887
0.729 0.750 0.113
0.771 0.250 0.613
```

The 8 most intense peaks (5° ≤ 2θ ≤ 70°), by angle:
| d (Å) | I (rel.) |
| --- | --- |
| 3.937 | 17.8 |
| 3.664 | 23.9 |
| 3.011 | 41.5 |
| 2.951 | 14.4 |
| 2.832 | 100.0 |
| 2.554 | 21.0 |
| 2.337 | 24.3 |
| 2.244 | 12.6 |

No. 8
For Pr2MgTl, a PBE-relaxed structure gives the theoretical powder XRD pattern in this record (Cu Ka).
No peak broadening, texture or thermal motion is included.

Cell and atoms:
```
Pr2MgTl
1.0
7.850 0.000 0.000
0.000 7.850 0.000
0.000 0.000 7.850
Pr Mg Tl
8 4 4
Direct
0.250 0.250 0.250
0.250 0.250 0.750
0.250 0.750 0.250
0.250 0.750 0.750
0.750 0.250 0.250
0.750 0.250 0.750
0.750 0.750 0.250
0.750 0.750 0.750
0.000 0.000 0.000
0.000 0.500 0.500
0.500 0.000 0.500
0.500 0.500 0.000
0.000 0.000 0.500
0.000 0.500 0.000
0.500 0.000 0.000
0.500 0.500 0.500
```

The 8 most intense peaks (5° ≤ 2θ ≤ 70°), by angle:
| d (Å) | I (rel.) |
| --- | --- |
| 4.532 | 25.8 |
| 2.775 | 100.0 |
| 2.367 | 15.0 |
| 1.962 | 18.5 |
| 1.801 | 6.7 |
| 1.602 | 38.7 |
| 1.511 | 5.1 |
| 1.388 | 11.9 |

Number 6 is which compound? PrMgSn